For Na2MnPO5F2, the GGA+U geometry in the Materials Project gives the simulated powder X-ray diffraction pattern in this record (Cu Kα (λ = 1.5418 Å)).

Crystal structure
Unit cell a=5.761 b=8.051 c=6.708 alpha=90.00 beta=108.42 gamma=90.00
Space group P2_1/m (No. 11)
Unique sites:
1 Na 0.000 0.000 0.000 (multiplicity 2)
2 Na 0.494 0.250 0.956 (multiplicity 2)
3 Mn 0.500 0.000 0.500 (multiplicity 2)
4 P 0.018 0.250 0.399 (multiplicity 2)
5 O 0.027 0.250 0.803 (multiplicity 2)
6 O 0.089 0.592 0.712 (multiplicity 4)
7 O 0.120 0.750 0.397 (multiplicity 2)
8 O 0.299 0.250 0.507 (multiplicity 2)
9 F 0.394 0.002 0.187 (multiplicity 4)

Largest 10 diffraction maxima, in order of rising 2θ, 2θ = 10–90°:
- d = 6.364 Å, 13.92°, I 559
- d = 3.241 Å, 27.52°, I 494
- d = 3.136 Å, 28.47°, I 1000
- d = 2.733 Å, 32.77°, I 588
- d = 2.692 Å, 33.29°, I 464
- d = 2.332 Å, 38.62°, I 295
- d = 2.229 Å, 40.46°, I 212
- d = 2.013 Å, 45.05°, I 373
- d = 1.950 Å, 46.57°, I 197
- d = 1.733 Å, 52.84°, I 223

For Na2MnP2O7F3, the GGA+U geometry in the Materials Project gives the simulated powder X-ray diffraction pattern in this record (Cu Kα (λ = 1.5418 Å)).

Crystal structure
Unit cell a=4.649 b=6.156 c=7.974 alpha=105.07 beta=97.14 gamma=105.94
Space group P1 (No. 1)
Unique sites:
1 Na 0.000 0.000 0.000 (multiplicity 1)
2 Na 0.400 0.714 0.589 (multiplicity 1)
3 Mn 0.706 0.364 0.816 (multiplicity 1)
4 P 0.067 0.128 0.541 (multiplicity 1)
5 P 0.347 0.598 0.102 (multiplicity 1)
6 O 0.043 0.393 0.999 (multiplicity 1)
7 O 0.097 0.889 0.472 (multiplicity 1)
8 O 0.316 0.847 0.143 (multiplicity 1)
9 O 0.364 0.340 0.634 (multiplicity 1)
10 O 0.448 0.553 0.275 (multiplicity 1)
11 O 0.596 0.605 0.986 (multiplicity 1)
12 O 0.820 0.119 0.657 (multiplicity 1)
13 F 0.470 0.112 0.878 (multiplicity 1)
14 F 0.937 0.617 0.753 (multiplicity 1)
15 F 0.941 0.210 0.383 (multiplicity 1)

Largest 10 diffraction maxima, in order of rising 2θ, 2θ = 10–90°:
- d = 7.527 Å, 11.76°, I 730
- d = 5.631 Å, 15.74°, I 185
- d = 5.373 Å, 16.50°, I 1000
- d = 3.598 Å, 24.75°, I 326
- d = 3.474 Å, 25.64°, I 340
- d = 3.205 Å, 27.84°, I 553
- d = 3.016 Å, 29.62°, I 412
- d = 2.828 Å, 31.64°, I 379
- d = 2.758 Å, 32.46°, I 333
- d = 2.497 Å, 35.97°, I 272

For Na5Mn3S4O16F4, the GGA+U geometry in the Materials Project gives the simulated powder X-ray diffraction pattern in this record (Cu Kα (λ = 1.5418 Å)).

Crystal structure
Unit cell a=6.737 b=6.789 c=9.106 alpha=94.73 beta=96.95 gamma=92.33
Space group P-1 (No. 2)
Unique sites:
1 Na 0.000 0.000 0.000 (multiplicity 1)
2 Na 0.240 0.506 0.661 (multiplicity 2)
3 Na 0.464 0.738 0.018 (multiplicity 2)
4 Mn 0.000 0.500 0.000 (multiplicity 1)
5 Mn 0.228 0.839 0.357 (multiplicity 2)
6 S 0.248 0.345 0.281 (multiplicity 2)
7 S 0.277 0.045 0.702 (multiplicity 2)
8 O 0.072 0.319 0.154 (multiplicity 2)
9 O 0.100 0.163 0.663 (multiplicity 2)
10 O 0.201 0.510 0.389 (multiplicity 2)
11 O 0.250 0.158 0.350 (multiplicity 2)
12 O 0.264 0.859 0.600 (multiplicity 2)
13 O 0.291 0.994 0.859 (multiplicity 2)
14 O 0.432 0.392 0.217 (multiplicity 2)
15 O 0.458 0.173 0.685 (multiplicity 2)
16 F 0.162 0.757 0.122 (multiplicity 2)
17 F 0.242 0.461 0.919 (multiplicity 2)

Largest 10 diffraction maxima, in order of rising 2θ, 2θ = 10–90°:
- d = 5.716 Å, 15.50°, I 265
- d = 5.649 Å, 15.69°, I 520
- d = 3.339 Å, 26.70°, I 490
- d = 3.265 Å, 27.32°, I 1000
- d = 3.075 Å, 29.04°, I 425
- d = 3.001 Å, 29.77°, I 766
- d = 2.934 Å, 30.47°, I 540
- d = 2.703 Å, 33.14°, I 279
- d = 2.103 Å, 43.01°, I 280
- d = 1.836 Å, 49.66°, I 392

For Na12Mn3S6O24F8, the GGA+U geometry in the Materials Project gives the simulated powder X-ray diffraction pattern in this record (Cu Kα (λ = 1.5418 Å)).

Crystal structure
Unit cell a=9.676 b=9.708 c=9.797 alpha=113.80 beta=105.21 gamma=109.01
Space group P-1 (No. 2)
Unique sites:
1 Na 0.112 0.179 0.485 (multiplicity 2)
2 Na 0.155 0.645 0.941 (multiplicity 2)
3 Na 0.219 0.783 0.417 (multiplicity 2)
4 Na 0.304 0.450 0.296 (multiplicity 2)
5 Na 0.328 0.000 0.866 (multiplicity 2)
6 Na 0.340 0.075 0.285 (multiplicity 2)
7 Mn 0.000 0.000 0.000 (multiplicity 1)
8 Mn 0.000 0.500 0.500 (multiplicity 1)
9 Mn 0.500 0.500 0.000 (multiplicity 1)
10 S 0.090 0.262 0.857 (multiplicity 2)
11 S 0.395 0.627 0.728 (multiplicity 2)
12 S 0.464 0.165 0.684 (multiplicity 2)
13 O 0.047 0.132 0.685 (multiplicity 2)
14 O 0.052 0.709 0.142 (multiplicity 2)
15 O 0.137 0.204 0.974 (multiplicity 2)
16 O 0.215 0.495 0.634 (multiplicity 2)
17 O 0.234 0.430 0.921 (multiplicity 2)
18 O 0.326 0.110 0.527 (multiplicity 2)
19 O 0.378 0.711 0.289 (multiplicity 2)
20 O 0.419 0.790 0.862 (multiplicity 2)
21 O 0.431 0.243 0.830 (multiplicity 2)
22 O 0.451 0.652 0.608 (multiplicity 2)
23 O 0.468 0.008 0.672 (multiplicity 2)
24 O 0.488 0.557 0.801 (multiplicity 2)
25 F 0.062 0.483 0.325 (multiplicity 2)
26 F 0.104 0.744 0.597 (multiplicity 2)
27 F 0.136 0.157 0.235 (multiplicity 2)
28 F 0.166 0.929 0.995 (multiplicity 2)

Largest 10 diffraction maxima, in order of rising 2θ, 2θ = 10–90°:
- d = 5.325 Å, 16.65°, I 882
- d = 4.076 Å, 21.80°, I 857
- d = 3.387 Å, 26.31°, I 370
- d = 3.075 Å, 29.04°, I 789
- d = 3.024 Å, 29.54°, I 1000
- d = 2.974 Å, 30.05°, I 695
- d = 2.967 Å, 30.12°, I 633
- d = 2.957 Å, 30.23°, I 570
- d = 2.652 Å, 33.80°, I 347
- d = 1.848 Å, 49.31°, I 299

For Na4Zr2TiMnSi4O16F2, the GGA+U geometry in the Materials Project gives the simulated powder X-ray diffraction pattern in this record (Cu Kα (λ = 1.5418 Å)).

Crystal structure
Unit cell a=5.664 b=7.192 c=18.730 alpha=90.00 beta=102.79 gamma=90.00
Space group P2/c (No. 13)
Unique sites:
1 Na 0.000 0.111 0.250 (multiplicity 2)
2 Na 0.203 0.114 0.071 (multiplicity 4)
3 Na 0.500 0.347 0.250 (multiplicity 2)
4 Zr 0.197 0.378 0.575 (multiplicity 4)
5 Ti 0.000 0.392 0.750 (multiplicity 2)
6 Mn 0.500 0.153 0.750 (multiplicity 2)
7 Si 0.278 0.114 0.895 (multiplicity 4)
8 Si 0.279 0.342 0.396 (multiplicity 4)
9 O 0.080 0.176 0.941 (multiplicity 4)
10 O 0.098 0.407 0.449 (multiplicity 4)
11 O 0.176 0.415 0.312 (multiplicity 4)
12 O 0.213 0.190 0.810 (multiplicity 4)
13 O 0.231 0.372 0.686 (multiplicity 4)
14 O 0.264 0.115 0.390 (multiplicity 4)
15 O 0.441 0.405 0.077 (multiplicity 4)
16 O 0.443 0.174 0.567 (multiplicity 4)
17 F 0.304 0.079 0.193 (multiplicity 4)

Largest 10 diffraction maxima, in order of rising 2θ, 2θ = 10–90°:
- d = 7.192 Å, 12.31°, I 154
- d = 6.692 Å, 13.23°, I 275
- d = 3.481 Å, 25.59°, I 163
- d = 3.044 Å, 29.34°, I 521
- d = 2.917 Å, 30.65°, I 1000
- d = 2.635 Å, 34.02°, I 295
- d = 2.476 Å, 36.28°, I 252
- d = 1.864 Å, 48.86°, I 331
- d = 1.798 Å, 50.78°, I 169
- d = 1.667 Å, 55.08°, I 156